1.
For NaHfAgSe3, a cell relaxed with PBE gives the theoretical powder diffraction line list in this record (λ = 1.5418 Å (Cu Kα)).

Principal peaks in the range 2θ from 10° to 90°, low angle first:
6.814 Å, 12.99°, I = 1000, hkl 0 0 2
2.826 Å, 31.66°, I = 258, hkl 1 1 3
2.757 Å, 32.48°, I = 259, hkl 4 0 0
2.583 Å, 34.73°, I = 808, hkl 2 1 3
2.555 Å, 35.12°, I = 212, hkl 4 0 2
2.058 Å, 43.99°, I = 315, hkl 2 1 5
1.910 Å, 47.62°, I = 179, hkl 0 2 0
1.839 Å, 49.57°, I = 182, hkl 0 2 2

Structural model:
Cell: 11.026 3.820 13.628 Å, 90.00 90.00 90.00°
Element x y z (fractional)
Na 0.205 0.250 0.016
Na 0.295 0.750 0.516
Na 0.705 0.250 0.484
Na 0.795 0.750 0.984
Hf 0.013 0.250 0.275
Hf 0.487 0.750 0.775
Hf 0.513 0.250 0.225
Hf 0.987 0.750 0.725
Ag 0.240 0.750 0.220
Ag 0.260 0.250 0.720
Ag 0.740 0.750 0.280
Ag 0.760 0.250 0.780
Se 0.025 0.750 0.133
Se 0.073 0.250 0.607
Se 0.219 0.250 0.356
Se 0.281 0.750 0.856
Se 0.427 0.750 0.107
Se 0.475 0.250 0.633
Se 0.525 0.750 0.367
Se 0.573 0.250 0.893
Se 0.719 0.250 0.144
Se 0.781 0.750 0.644
Se 0.927 0.750 0.393
Se 0.975 0.250 0.867


2.
For CdBS, a cell relaxed with PBE gives the theoretical powder diffraction line list in this record (λ = 1.5418 Å (Cu Kα)).

Principal peaks in the range 2θ from 10° to 90°, low angle first:
4.071 Å, 21.83°, I = 1000, hkl 1 1 0
2.750 Å, 32.56°, I = 332, hkl 1 0 1
2.350 Å, 38.30°, I = 451, hkl 3 0 0
2.279 Å, 39.55°, I = 342, hkl 2 0 1
2.035 Å, 44.51°, I = 166, hkl 2 2 0
1.988 Å, 45.63°, I = 370, hkl 2 1 1
1.539 Å, 60.14°, I = 137, hkl 4 1 0
1.422 Å, 65.64°, I = 150, hkl 2 3 1

Structural model:
Cell: 8.141 8.141 2.986 Å, 90.00 90.00 120.00°
Element x y z (fractional)
Cd 0.000 0.000 0.000
Cd 0.333 0.667 0.000
Cd 0.667 0.333 0.500
B 0.097 0.340 0.500
B 0.243 0.903 0.500
B 0.660 0.757 0.500
S 0.379 0.049 0.000
S 0.670 0.621 0.000
S 0.951 0.330 0.000


3.
For Er2Fe17, a cell relaxed with PBE gives the theoretical powder diffraction line list in this record (λ = 1.5418 Å (Cu Kα)).

Principal peaks in the range 2θ from 10° to 90°, low angle first:
2.928 Å, 30.53°, I = 418, hkl 1 1 2
2.410 Å, 37.31°, I = 424, hkl 3 0 0
2.183 Å, 41.36°, I = 281, hkl 2 0 3
2.087 Å, 43.35°, I = 558, hkl 2 2 0
2.079 Å, 43.54°, I = 1000, hkl 3 0 2
2.054 Å, 44.09°, I = 305, hkl 0 0 4
1.318 Å, 71.60°, I = 170, hkl 3 3 2
1.191 Å, 80.71°, I = 183, hkl 3 0 6

Structural model:
Cell: 8.349 8.349 8.216 Å, 90.00 90.00 120.00°
Element x y z (fractional)
Er 0.000 0.000 0.250
Er 0.000 0.000 0.750
Er 0.333 0.667 0.250
Er 0.667 0.333 0.750
Fe 0.000 0.500 0.000
Fe 0.000 0.500 0.500
Fe 0.036 0.365 0.750
Fe 0.036 0.671 0.750
Fe 0.166 0.331 0.014
Fe 0.166 0.331 0.486
Fe 0.166 0.834 0.014
Fe 0.166 0.834 0.486
Fe 0.329 0.365 0.750
Fe 0.329 0.964 0.750
Fe 0.331 0.166 0.514
Fe 0.331 0.166 0.986
Fe 0.333 0.667 0.607
Fe 0.333 0.667 0.893
Fe 0.365 0.036 0.250
Fe 0.365 0.329 0.250
Fe 0.500 0.000 0.000
Fe 0.500 0.000 0.500
Fe 0.500 0.500 0.000
Fe 0.500 0.500 0.500
Fe 0.635 0.671 0.750
Fe 0.635 0.964 0.750
Fe 0.667 0.333 0.107
Fe 0.667 0.333 0.393
Fe 0.669 0.834 0.014
Fe 0.669 0.834 0.486
Fe 0.671 0.036 0.250
Fe 0.671 0.635 0.250
Fe 0.834 0.166 0.514
Fe 0.834 0.166 0.986
Fe 0.834 0.669 0.514
Fe 0.834 0.669 0.986
Fe 0.964 0.329 0.250
Fe 0.964 0.635 0.250


4.
For AgBiPdS3, a cell relaxed with PBE gives the theoretical powder diffraction line list in this record (λ = 1.5418 Å (Cu Kα)).

Principal peaks in the range 2θ from 10° to 90°, low angle first:
3.945 Å, 22.54°, I = 158, hkl 0 1 3
3.362 Å, 26.52°, I = 673, hkl 1 0 3
3.151 Å, 28.32°, I = 1000, hkl 1 2 0
3.104 Å, 28.76°, I = 259, hkl 1 1 3
3.014 Å, 29.64°, I = 307, hkl 0 2 3
2.022 Å, 44.83°, I = 203, hkl 0 4 0
1.931 Å, 47.07°, I = 396, hkl 2 2 3
1.732 Å, 52.84°, I = 242, hkl 1 4 3

Structural model:
Cell: 5.029 8.088 13.559 Å, 90.00 90.00 90.00°
Element x y z (fractional)
Ag 0.033 0.107 0.442
Ag 0.467 0.893 0.942
Ag 0.533 0.393 0.558
Ag 0.967 0.607 0.058
Bi 0.044 0.129 0.129
Bi 0.456 0.871 0.629
Bi 0.544 0.371 0.871
Bi 0.956 0.629 0.371
Pd 0.015 0.632 0.747
Pd 0.485 0.368 0.247
Pd 0.515 0.868 0.253
Pd 0.985 0.132 0.753
S 0.185 0.145 0.912
S 0.224 0.378 0.711
S 0.225 0.624 0.901
S 0.275 0.376 0.401
S 0.276 0.622 0.211
S 0.315 0.855 0.412
S 0.685 0.355 0.088
S 0.724 0.122 0.289
S 0.725 0.876 0.099
S 0.775 0.124 0.599
S 0.776 0.878 0.789
S 0.815 0.645 0.588


5.
For LaNdCd2Sn2, a cell relaxed with PBE gives the theoretical powder diffraction line list in this record (λ = 1.5418 Å (Cu Kα)).

Principal peaks in the range 2θ from 10° to 90°, low angle first:
3.329 Å, 26.78°, I = 113, hkl 1 0 3
2.939 Å, 30.41°, I = 1000, hkl 1 0 4
2.409 Å, 37.33°, I = 715, hkl 1 1 0
2.058 Å, 43.99°, I = 148, hkl 1 0 7
1.863 Å, 48.89°, I = 267, hkl 2 0 4
1.570 Å, 58.81°, I = 158, hkl 1 1 8
1.474 Å, 63.08°, I = 248, hkl 2 1 4
1.391 Å, 67.33°, I = 126, hkl 3 0 0

Structural model:
Cell: 4.818 4.818 16.565 Å, 90.00 90.00 120.00°
Element x y z (fractional)
La 0.000 0.000 0.000
La 0.000 0.000 0.500
Nd 0.000 0.000 0.250
Nd 0.000 0.000 0.750
Cd 0.333 0.667 0.154
Cd 0.333 0.667 0.346
Cd 0.667 0.333 0.654
Cd 0.667 0.333 0.846
Sn 0.333 0.667 0.610
Sn 0.333 0.667 0.890
Sn 0.667 0.333 0.110
Sn 0.667 0.333 0.390